# 1
# Rb2U6Pd4Se17
Simulated powder XRD pattern, a wavelength of 1.5418 Å. Input: a crystal structure in OQMD, relaxed with PBE.
Lines closer than 0.1° are merged.

Atomic structure:
```
data_Rb2U6Pd4Se17
_cell_length_a 10.704
_cell_length_b 10.704
_cell_length_c 13.357
_cell_angle_alpha 90.00
_cell_angle_beta 90.00
_cell_angle_gamma 90.00
_symmetry_space_group_name_H-M 'P 4/m n c'
_symmetry_Int_Tables_number 128
_symmetry_space_group_name_Hall '-P 4 2n'
loop_
_atom_site_label
_atom_site_type_symbol
_atom_site_fract_x
_atom_site_fract_y
_atom_site_fract_z
Rb1 Rb 0.000 0.000 0.221
U1 U 0.000 0.500 0.250
U2 U 0.118 0.240 0.500
Pd1 Pd 0.066 0.636 0.000
Se1 Se 0.000 0.000 0.500
Se2 Se 0.080 0.289 0.133
Se3 Se 0.091 0.725 0.365
```

Main lines, in order of rising 2θ (10° ≤ 2θ ≤ 80°):
8.353 Å, intensity 41.6, hkl 1 0 1; 7.569 Å, intensity 53.8, hkl 1 1 0; 4.176 Å, intensity 42.8, hkl 2 0 2; 2.695 Å, intensity 100.0, hkl 3 1 3; 2.393 Å, intensity 40.2, hkl 4 2 0; 2.097 Å, intensity 32.9, hkl 3 1 5

# 2
# RbSnPd
Simulated powder XRD pattern, a wavelength of 1.5418 Å. Input: a crystal structure in OQMD, relaxed with PBE.
Lines closer than 0.1° are merged.

Atomic structure:
```
data_RbSnPd
_cell_length_a 4.818
_cell_length_b 5.007
_cell_length_c 8.006
_cell_angle_alpha 92.51
_cell_angle_beta 90.18
_cell_angle_gamma 90.18
_symmetry_space_group_name_H-M 'P -1'
_symmetry_Int_Tables_number 2
_symmetry_space_group_name_Hall '-P 1'
loop_
_atom_site_label
_atom_site_type_symbol
_atom_site_fract_x
_atom_site_fract_y
_atom_site_fract_z
Rb1 Rb 0.249 0.257 0.161
Sn1 Sn 0.250 0.201 0.633
Pd1 Pd 0.251 0.688 0.498
```

Main lines, in order of rising 2θ (10° ≤ 2θ ≤ 80°):
7.998 Å, intensity 100.0, hkl 0 0 1; 3.077 Å, intensity 39.7, hkl 1 0 2; 3.059 Å, intensity 28.7, hkl 0 1 2; 2.662 Å, intensity 26.5, hkl 1 1 -2; 2.501 Å, intensity 20.1, hkl 0 2 0; 2.409 Å, intensity 26.3, hkl 2 0 0

# 3
# RePd7
Simulated powder XRD pattern, a wavelength of 1.5418 Å. Input: a crystal structure in OQMD, relaxed with PBE.
Lines closer than 0.1° are merged.

Atomic structure:
```
data_RePd7
_cell_length_a 4.806
_cell_length_b 5.554
_cell_length_c 9.553
_cell_angle_alpha 89.82
_cell_angle_beta 80.04
_cell_angle_gamma 73.04
_symmetry_space_group_name_H-M 'P -1'
_symmetry_Int_Tables_number 2
_symmetry_space_group_name_Hall '-P 1'
loop_
_atom_site_label
_atom_site_type_symbol
_atom_site_fract_x
_atom_site_fract_y
_atom_site_fract_z
Re1 Re 0.247 0.067 0.192
Pd1 Pd 0.237 0.569 0.690
Pd2 Pd 0.244 0.061 0.692
Pd3 Pd 0.246 0.817 0.939
Pd4 Pd 0.252 0.560 0.185
Pd5 Pd 0.253 0.307 0.434
Pd6 Pd 0.256 0.814 0.429
Pd7 Pd 0.265 0.299 0.942
```

Main lines, in order of rising 2θ (10° ≤ 2θ ≤ 80°):
2.260 Å, intensity 100.0, hkl 1 2 -2; 1.966 Å, intensity 16.5, hkl 2 2 2; 1.959 Å, intensity 16.1, hkl 1 -2 2; 1.947 Å, intensity 15.9, hkl 1 0 -4; 1.388 Å, intensity 10.3, hkl 1 4 0; 1.383 Å, intensity 15.1, hkl 3 2 -2

# 4
# PdS
Simulated powder XRD pattern, a wavelength of 1.5418 Å. Input: a crystal structure in OQMD, relaxed with PBE.
Lines closer than 0.1° are merged.

Atomic structure:
```
data_PdS
_cell_length_a 5.210
_cell_length_b 4.722
_cell_length_c 6.206
_cell_angle_alpha 90.00
_cell_angle_beta 91.80
_cell_angle_gamma 90.00
_symmetry_space_group_name_H-M 'C 1 2/c 1'
_symmetry_Int_Tables_number 15
_symmetry_space_group_name_Hall '-C 2yc'
loop_
_atom_site_label
_atom_site_type_symbol
_atom_site_fract_x
_atom_site_fract_y
_atom_site_fract_z
Pd1 Pd 0.250 0.250 0.000
S1 S 0.000 0.010 0.250
```

Main lines, in order of rising 2θ (10° ≤ 2θ ≤ 80°):
3.101 Å, intensity 24.3, hkl 0 0 2; 3.075 Å, intensity 96.8, hkl 1 1 -1; 3.020 Å, intensity 100.0, hkl 1 1 1; 2.026 Å, intensity 25.3, hkl 2 0 -2; 1.879 Å, intensity 39.6, hkl 0 2 2; 1.749 Å, intensity 31.3, hkl 2 2 0